1.
For BaRe, a GGA-PBE-relaxed structure gives the theoretical powder X-ray diffraction pattern in this record (Cu Ka).
Neutral-atom scattering factors, no anomalous dispersion.

The 12 most intense peaks (2θ from 15° to 90°), by angle:
- 25.49 deg, I 100
- 25.82 deg, I 38
- 28.70 deg, I 59
- 30.48 deg, I 77
- 32.73 deg, I 49
- 35.86 deg, I 100
- 38.05 deg, I 82
- 40.16 deg, I 54
- 40.84 deg, I 48
- 41.49 deg, I 44
- 50.67 deg, I 48
- 51.24 deg, I 64

Atomic structure:
```
16
Lattice="12.4411 0.0000 0.0000 0.0000 12.4411 0.0000 0.0000 0.0000 4.4903" Properties=species:S:1:pos:R:3 pbc="T T T"
Ba 1.3976 8.0762 0.0000
Ba 2.1169 4.0915 2.2452
Ba 4.0915 10.3242 2.2452
Ba 4.3649 1.3976 0.0000
Ba 8.0762 11.0435 0.0000
Ba 8.3496 2.1169 2.2452
Ba 10.3242 8.3496 2.2452
Ba 11.0435 4.3649 0.0000
Re 0.4950 10.6791 2.2452
Re 0.7924 1.6532 0.0000
Re 1.6532 11.6487 0.0000
Re 1.7620 0.4950 2.2452
Re 10.6791 11.9461 2.2452
Re 10.7878 0.7924 0.0000
Re 11.6487 10.7878 0.0000
Re 11.9461 1.7620 2.2452
```

---

2.
For BaReRh, a GGA-PBE-relaxed structure gives the theoretical powder X-ray diffraction pattern in this record (Cu Ka).
Neutral-atom scattering factors, no anomalous dispersion.

The 12 most intense peaks (2θ from 15° to 90°), by angle:
- 24.46 deg, I 34
- 25.23 deg, I 43
- 28.99 deg, I 22
- 34.43 deg, I 100
- 40.97 deg, I 58
- 41.95 deg, I 94
- 42.80 deg, I 48
- 49.13 deg, I 21
- 55.35 deg, I 24
- 71.77 deg, I 16
- 75.18 deg, I 16
- 76.64 deg, I 16

Atomic structure:
```
6
Lattice="3.7298 -2.1536 0.0000 3.7298 2.1536 0.0000 -0.0297 0.0000 10.9168" Properties=species:S:1:pos:R:3 pbc="T T T"
Ba 1.2278 0.0000 2.1939
Ba 6.2020 0.0000 8.7230
Re 1.2285 0.0000 5.5296
Re 6.2013 0.0000 5.3872
Rh 3.7147 0.0000 4.1111
Rh 3.7151 0.0000 6.8058
```

---

3.
For BaReS2, a GGA-PBE-relaxed structure gives the theoretical powder X-ray diffraction pattern in this record (Cu Ka).
Neutral-atom scattering factors, no anomalous dispersion.

The 12 most intense peaks (2θ from 15° to 90°), by angle:
- 20.75 deg, I 64
- 28.62 deg, I 100
- 31.11 deg, I 49
- 39.68 deg, I 58
- 45.19 deg, I 32
- 49.08 deg, I 31
- 53.84 deg, I 31
- 57.84 deg, I 25
- 64.90 deg, I 26
- 66.70 deg, I 12
- 79.20 deg, I 16
- 85.45 deg, I 19

Atomic structure:
```
4
Lattice="1.8561 1.0716 8.5607 -1.8561 1.0716 8.5607 0.0000 -2.1432 8.5607" Properties=species:S:1:pos:R:3 pbc="T T T"
Ba 0.0000 0.0000 0.0000
Re 0.0000 0.0000 12.8411
S 0.0000 0.0000 3.0601
S 0.0000 0.0000 22.6221
```

---

4.
For BaScRe, a GGA-PBE-relaxed structure gives the theoretical powder X-ray diffraction pattern in this record (Cu Ka).
Neutral-atom scattering factors, no anomalous dispersion.

The 12 most intense peaks (2θ from 15° to 90°), by angle:
- 26.31 deg, I 25
- 27.16 deg, I 13
- 32.73 deg, I 100
- 36.24 deg, I 46
- 38.83 deg, I 13
- 43.03 deg, I 15
- 45.87 deg, I 13
- 52.18 deg, I 16
- 56.05 deg, I 17
- 62.97 deg, I 30
- 68.59 deg, I 12
- 69.84 deg, I 16

Atomic structure:
```
3
Lattice="-1.7529 1.7529 6.5656 1.7529 -1.7529 6.5656 1.7529 1.7529 -6.5656" Properties=species:S:1:pos:R:3 pbc="T T T"
Ba 0.0000 0.0000 0.0000
Sc 0.0000 0.0000 9.6902
Re 0.0000 0.0000 4.3171
```

---

5.
For BaSr2Re, a GGA-PBE-relaxed structure gives the theoretical powder X-ray diffraction pattern in this record (Cu Ka).
Neutral-atom scattering factors, no anomalous dispersion.

The 12 most intense peaks (2θ from 15° to 90°), by angle:
- 16.68 deg, I 77
- 29.88 deg, I 41
- 31.42 deg, I 100
- 31.73 deg, I 43
- 33.93 deg, I 35
- 37.19 deg, I 77
- 44.14 deg, I 28
- 47.13 deg, I 28
- 56.33 deg, I 19
- 60.15 deg, I 19
- 66.46 deg, I 17
- 71.40 deg, I 20

Atomic structure:
```
4
Lattice="-1.8137 2.8199 7.9271 1.8137 -2.8199 7.9271 1.8137 2.8199 -7.9271" Properties=species:S:1:pos:R:3 pbc="T T T"
Ba 0.0000 0.0000 0.0000
Sr 0.0000 0.0000 5.1009
Sr 0.0000 2.8199 2.5869
Re 1.8137 0.0000 2.5626
```

---

6.
For BaTa2Re, a GGA-PBE-relaxed structure gives the theoretical powder X-ray diffraction pattern in this record (Cu Ka).
Neutral-atom scattering factors, no anomalous dispersion.

The 12 most intense peaks (2θ from 15° to 90°), by angle:
- 31.15 deg, I 16
- 34.51 deg, I 100
- 34.61 deg, I 34
- 39.13 deg, I 82
- 40.57 deg, I 16
- 41.93 deg, I 40
- 50.80 deg, I 35
- 50.92 deg, I 17
- 56.48 deg, I 14
- 56.60 deg, I 14
- 67.93 deg, I 31
- 72.80 deg, I 16

Atomic structure:
```
4
Lattice="3.2524 0.0000 0.0000 0.0000 3.2584 0.0000 -0.0277 0.0000 8.6127" Properties=species:S:1:pos:R:3 pbc="T T T"
Ba 0.0000 0.0000 0.0000
Ta 1.6114 1.6292 2.8327
Ta 1.6133 1.6292 5.7800
Re -0.0138 0.0000 4.3064
```

---

7.
For Ba2ReTe4, a GGA-PBE-relaxed structure gives the theoretical powder X-ray diffraction pattern in this record (Cu Ka).
Neutral-atom scattering factors, no anomalous dispersion.

The 12 most intense peaks (2θ from 15° to 90°), by angle:
- 17.16 deg, I 24
- 23.25 deg, I 55
- 25.42 deg, I 23
- 30.49 deg, I 34
- 30.76 deg, I 46
- 31.10 deg, I 56
- 33.11 deg, I 100
- 45.63 deg, I 23
- 45.82 deg, I 61
- 47.53 deg, I 36
- 57.69 deg, I 31
- 87.29 deg, I 19

Atomic structure:
```
7
Lattice="-2.7052 2.7052 8.7196 2.7052 -2.7052 8.7196 2.7052 2.7052 -8.7196" Properties=species:S:1:pos:R:3 pbc="T T T"
Ba 0.0000 0.0000 2.4468
Ba 0.0000 0.0000 14.9925
Re 0.0000 0.0000 8.7196
Te 2.7052 0.0000 0.0000
Te 0.0000 0.0000 5.9055
Te 0.0000 2.7052 0.0000
Te 0.0000 0.0000 11.5338
```

---

8.
For Ba5Rh3, a GGA-PBE-relaxed structure gives the theoretical powder X-ray diffraction pattern in this record (Cu Ka).
Neutral-atom scattering factors, no anomalous dispersion.

The 12 most intense peaks (2θ from 15° to 90°), by angle:
- 24.20 deg, I 20
- 26.71 deg, I 16
- 29.76 deg, I 21
- 31.17 deg, I 100
- 32.21 deg, I 73
- 33.86 deg, I 61
- 42.85 deg, I 14
- 46.68 deg, I 23
- 47.90 deg, I 23
- 49.57 deg, I 13
- 58.90 deg, I 15
- 61.39 deg, I 21

Atomic structure:
```
16
Lattice="9.1715 0.0000 0.0000 -4.5857 7.9427 0.0000 0.0000 0.0000 7.3556" Properties=species:S:1:pos:R:3 pbc="T T T"
Ba -1.2191 2.1116 1.8389
Ba -3.3666 5.8311 5.5167
Ba 2.4383 0.0000 1.8389
Ba 1.2191 2.1116 5.5167
Ba 0.0000 5.2952 0.0000
Ba 0.0000 5.2952 3.6778
Ba 4.5857 2.6476 0.0000
Ba 4.5857 2.6476 3.6778
Ba 6.7332 0.0000 5.5167
Ba 3.3666 5.8311 1.8389
Rh -1.7692 3.0643 5.5167
Rh -2.8166 4.8784 1.8389
Rh 3.5384 0.0000 5.5167
Rh 1.7692 3.0643 1.8389
Rh 5.6331 0.0000 1.8389
Rh 2.8166 4.8784 5.5167
```

---

9.
For Ba3Rh5, a GGA-PBE-relaxed structure gives the theoretical powder X-ray diffraction pattern in this record (Cu Ka).
Neutral-atom scattering factors, no anomalous dispersion.

The 12 most intense peaks (2θ from 15° to 90°), by angle:
- 17.26 deg, I 22
- 25.53 deg, I 75
- 26.49 deg, I 24
- 30.12 deg, I 81
- 32.61 deg, I 63
- 36.39 deg, I 44
- 39.23 deg, I 31
- 39.88 deg, I 100
- 41.88 deg, I 25
- 52.44 deg, I 39
- 58.17 deg, I 23
- 61.67 deg, I 31

Atomic structure:
```
16
Lattice="10.2782 0.0000 0.0000 -5.1391 8.9012 0.0000 0.0000 0.0000 4.7537" Properties=species:S:1:pos:R:3 pbc="T T T"
Ba -1.8549 3.2128 1.1884
Ba -3.2842 5.6884 3.5653
Ba 3.7099 0.0000 1.1884
Ba 1.8549 3.2128 3.5653
Ba 6.5684 0.0000 3.5653
Ba 3.2842 5.6884 1.1884
Rh -0.7408 1.2831 3.5653
Rh -4.3983 7.6181 1.1884
Rh 1.4816 0.0000 3.5653
Rh 0.7408 1.2831 1.1884
Rh 0.0000 5.9341 0.0000
Rh 0.0000 5.9341 2.3769
Rh 5.1391 2.9671 0.0000
Rh 5.1391 2.9671 2.3769
Rh 8.7966 0.0000 1.1884
Rh 4.3983 7.6181 3.5653
```

---

10.
For Ba2Rh, a GGA-PBE-relaxed structure gives the theoretical powder X-ray diffraction pattern in this record (Cu Ka).
Neutral-atom scattering factors, no anomalous dispersion.

The 12 most intense peaks (2θ from 15° to 90°), by angle:
- 27.52 deg, I 100
- 30.19 deg, I 83
- 32.54 deg, I 39
- 35.28 deg, I 33
- 37.04 deg, I 34
- 37.14 deg, I 23
- 48.75 deg, I 24
- 52.08 deg, I 25
- 58.12 deg, I 35
- 58.71 deg, I 12
- 60.20 deg, I 11
- 80.75 deg, I 12

Atomic structure:
```
9
Lattice="8.4075 0.0000 0.0000 -4.2038 7.2811 0.0000 0.0000 0.0000 5.0875" Properties=species:S:1:pos:R:3 pbc="T T T"
Ba -1.1128 1.9274 0.0000
Ba -2.4875 4.3084 2.5438
Ba 2.2256 0.0000 0.0000
Ba 1.7163 2.9727 2.5438
Ba 4.9749 0.0000 2.5438
Ba 3.0910 5.3537 0.0000
Rh 0.0000 0.0000 2.5438
Rh 0.0000 4.8541 0.0000
Rh 4.2038 2.4270 0.0000
```

---

11.
For BaSb2Rh3, a GGA-PBE-relaxed structure gives the theoretical powder X-ray diffraction pattern in this record (Cu Ka).
Neutral-atom scattering factors, no anomalous dispersion.

The 12 most intense peaks (2θ from 15° to 90°), by angle:
- 27.24 deg, I 24
- 30.01 deg, I 100
- 32.38 deg, I 85
- 36.07 deg, I 81
- 40.57 deg, I 43
- 41.55 deg, I 52
- 42.23 deg, I 62
- 44.11 deg, I 49
- 52.62 deg, I 23
- 56.14 deg, I 26
- 62.71 deg, I 25
- 72.67 deg, I 23

Atomic structure:
```
12
Lattice="8.3266 -2.1403 0.0000 8.3266 2.1403 0.0000 -3.3690 0.0000 7.6799" Properties=species:S:1:pos:R:3 pbc="T T T"
Ba 2.3032 0.0000 0.4835
Ba 10.9811 0.0000 7.1965
Sb 0.8611 0.0000 5.0959
Sb 5.2075 0.0000 6.0907
Sb 8.0768 0.0000 1.5892
Sb 12.4232 0.0000 2.5840
Rh -0.6133 0.0000 2.9667
Rh 3.3746 0.0000 4.2291
Rh 5.7401 0.0000 2.7071
Rh 7.5442 0.0000 4.9728
Rh 9.9097 0.0000 3.4509
Rh 13.8976 0.0000 4.7133
```

---

12.
For BaScRh, a GGA-PBE-relaxed structure gives the theoretical powder X-ray diffraction pattern in this record (Cu Ka).
Neutral-atom scattering factors, no anomalous dispersion.

The 12 most intense peaks (2θ from 15° to 90°), by angle:
- 24.47 deg, I 10
- 28.52 deg, I 100
- 29.07 deg, I 10
- 38.36 deg, I 36
- 43.07 deg, I 31
- 51.20 deg, I 12
- 52.47 deg, I 18
- 52.81 deg, I 11
- 59.03 deg, I 10
- 63.45 deg, I 10
- 70.15 deg, I 15
- 75.81 deg, I 10

Atomic structure:
```
3
Lattice="4.2001 0.0000 0.0000 -2.1001 3.6374 0.0000 0.0000 0.0000 6.1426" Properties=species:S:1:pos:R:3 pbc="T T T"
Ba 0.0000 0.0000 0.0000
Sc 0.0000 2.4249 3.1858
Rh 2.1001 1.2125 4.0756
```